[1]
Tb2Dy3S4: theoretical PXRD pattern (Cu Kα (weighted mean of Kα1 and Kα2)), based on DFT lattice parameters and positions (PBE).
Lines closer than 0.1° are merged.

Peak list (10 most intense, 15° ≤ 2θ ≤ 90°, by intensity)
(hkl), 2theta, Rel. int.
1 0 3, 31.57, 100
0 1 2, 28.91, 48
1 1 0, 46.99, 38
0 0 5, 27.98, 25
1 1 5, 55.58, 24
0 1 6, 43.47, 21
0 1 1, 27.20, 18
0 2 3, 57.71, 18
0 1 7, 48.32, 16
2 1 3, 77.51, 15

```
data_Tb2Dy3S4
_cell_length_a 3.8678
_cell_length_b 3.8678
_cell_length_c 15.9434
_cell_angle_alpha 90.00
_cell_angle_beta 90.00
_cell_angle_gamma 120.00
_space_group_name_H-M_alt 'P -3 m 1'
_space_group_IT_number 164
_space_group_name_Hall '-P 3 2"'
loop_
_atom_site_label
_atom_site_fract_x
_atom_site_fract_y
_atom_site_fract_z
_atom_site_occupancy
Tb1 0.3333 0.6667 0.2058 1
Dy1 0.0000 0.0000 0.0000 1
Dy2 0.3333 0.6667 0.5904 1
S1 0.0000 0.0000 0.3069 1
S2 0.3333 0.6667 0.8984 1
```


[2]
Tb12CeEr7: theoretical PXRD pattern (Cu Kα (weighted mean of Kα1 and Kα2)), based on DFT lattice parameters and positions (PBE).
Lines closer than 0.1° are merged.

Peak list (10 most intense, 15° ≤ 2θ ≤ 90°, by intensity)
(hkl), 2theta, Rel. int.
1 4 0, 31.62, 100
0 3 3, 34.21, 43
2 -1 3, 29.61, 43
4 -2 3, 36.32, 31
4 -1 2, 30.74, 29
5 -2 1, 31.40, 16
5 2 3, 52.05, 16
1 4 6, 65.55, 16
4 0 1, 28.99, 15
8 -6 2, 54.29, 11

```
data_Tb12CeEr7
_cell_length_a 14.9736
_cell_length_b 14.9736
_cell_length_c 9.8878
_cell_angle_alpha 90.00
_cell_angle_beta 90.00
_cell_angle_gamma 120.00
_space_group_name_H-M_alt 'R -3'
_space_group_IT_number 148
_space_group_name_Hall '-R 3'
loop_
_atom_site_label
_atom_site_fract_x
_atom_site_fract_y
_atom_site_fract_z
_atom_site_occupancy
Tb1 0.0362 0.2505 0.0757 1
Tb2 0.0443 0.1941 0.7561 1
Ce1 0.0000 0.0000 0.5000 1
Er1 0.0000 0.0000 0.0000 1
Er2 0.0698 0.2447 0.4299 1
```